Entry 1:
Theoretical XRD peak list of Ca2CoN2 for Cu Ka, from a DFT-relaxed cell (GGA-PBE, the Materials Project).

Peak list (6 most intense, 2θ from 10° to 80°, in order of rising 2θ)
15.01°, I 939; 21.28°, I 224; 32.87°, I 1000; 33.96°, I 538; 43.35°, I 291; 46.12°, I 262

Atomic structure:
```
data_Ca2CoN2
_symmetry_space_group_name_H-M 'I 4/m c m'
_symmetry_Int_Tables_number 140
_symmetry_space_group_name_Hall '-I 4 2c'
_cell_length_a 8.3487
_cell_length_b 8.3487
_cell_length_c 11.9562
_cell_angle_alpha 90.00
_cell_angle_beta 90.00
_cell_angle_gamma 90.00
loop_
_atom_site_label
_atom_site_type_symbol
_atom_site_fract_x
_atom_site_fract_y
_atom_site_fract_z
Ca1 Ca 0.1473 0.3527 0.1503
Co1 Co 0.1468 0.3532 0.5000
N1 N 0.1463 0.3537 0.3552
```

=====

Entry 2:
Theoretical XRD peak list of Ca11Co2N10 for Cu Ka, from a DFT-relaxed cell (GGA-PBE, the Materials Project).

Peak list (6 most intense, 2θ from 10° to 80°, in order of rising 2θ)
25.94°, I 249; 30.61°, I 473; 32.82°, I 1000; 34.05°, I 377; 35.56°, I 421; 50.21°, I 246

Atomic structure:
```
data_Ca11Co2N10
_symmetry_space_group_name_H-M 'P 42/m n m'
_symmetry_Int_Tables_number 136
_symmetry_space_group_name_Hall '-P 4n 2n'
_cell_length_a 14.8934
_cell_length_b 14.8934
_cell_length_c 3.6343
_cell_angle_alpha 90.00
_cell_angle_beta 90.00
_cell_angle_gamma 90.00
loop_
_atom_site_label
_atom_site_type_symbol
_atom_site_fract_x
_atom_site_fract_y
_atom_site_fract_z
Ca1 Ca 0.0000 0.0000 0.0000
Ca2 Ca 0.0277 0.2043 0.5000
Ca3 Ca 0.1083 0.6235 0.5000
Ca4 Ca 0.1598 0.8402 0.0000
Co1 Co 0.1941 0.1941 0.0000
N1 N 0.0245 0.6894 0.0000
N2 N 0.0812 0.9188 0.5000
N3 N 0.1154 0.1154 0.0000
N4 N 0.2283 0.7717 0.5000
```

=====

Entry 3:
Theoretical XRD peak list of Ca5CoN4 for Cu Ka, from a DFT-relaxed cell (GGA-PBE, the Materials Project).

Peak list (6 most intense, 2θ from 10° to 80°, in order of rising 2θ)
18.83°, I 344; 30.32°, I 582; 30.75°, I 886; 33.31°, I 656; 37.62°, I 810; 45.67°, I 1000

Atomic structure:
```
data_Ca5CoN4
_symmetry_space_group_name_H-M 'P m m n'
_symmetry_Int_Tables_number 59
_cell_length_a 7.3881
_cell_length_b 7.8463
_cell_length_c 5.8949
_cell_angle_alpha 90.00
_cell_angle_beta 90.00
_cell_angle_gamma 90.00
loop_
_symmetry_equiv_pos_as_xyz
'x,y,z'
'-x,-y,-z'
'-x+1/2,-y+1/2,z'
'x+1/2,y+1/2,-z'
'x+1/2,-y,-z'
'-x+1/2,y,z'
'-x,y+1/2,-z'
'x,-y+1/2,z'
loop_
_atom_site_label
_atom_site_type_symbol
_atom_site_fract_x
_atom_site_fract_y
_atom_site_fract_z
Ca1 Ca 0.0052 0.0491 0.2455
Ca2 Ca 0.2500 0.2500 0.6942
Co1 Co 0.2500 0.7500 0.2733
N1 N 0.0218 0.7500 0.0876
N2 N 0.2500 0.5106 0.4927
```

=====

Entry 4:
Theoretical XRD peak list of Ca5Co2N4 for Cu Ka, from a DFT-relaxed cell (GGA-PBE, the Materials Project).

Peak list (6 most intense, 2θ from 10° to 80°, in order of rising 2θ)
15.48°, I 241; 25.69°, I 148; 28.77°, I 152; 33.33°, I 1000; 35.04°, I 618; 35.85°, I 159

Atomic structure:
```
data_Ca5Co2N4
_symmetry_space_group_name_H-M 'P 4/n c c'
_symmetry_Int_Tables_number 130
_cell_length_a 8.0974
_cell_length_b 8.0974
_cell_length_c 12.0378
_cell_angle_alpha 90.00
_cell_angle_beta 90.00
_cell_angle_gamma 90.00
loop_
_symmetry_equiv_pos_as_xyz
'x,y,z'
'-x,-y,-z'
'-y+1/2,x,z'
'y+1/2,-x,-z'
'-x+1/2,-y+1/2,z'
'x+1/2,y+1/2,-z'
'y,-x+1/2,z'
'-y,x+1/2,-z'
'x+1/2,-y,-z+1/2'
'-x+1/2,y,z+1/2'
'-y,-x,-z+1/2'
'y,x,z+1/2'
'-x,y+1/2,-z+1/2'
'x,-y+1/2,z+1/2'
'y+1/2,x+1/2,-z+1/2'
'-y+1/2,-x+1/2,z+1/2'
loop_
_atom_site_label
_atom_site_type_symbol
_atom_site_fract_x
_atom_site_fract_y
_atom_site_fract_z
Ca1 Ca 0.0769 0.6321 0.0965
Ca2 Ca 0.2500 0.2500 0.1515
Co1 Co 0.0920 0.5920 0.7500
N1 N 0.0493 0.6399 0.8928
```

=====

Entry 5:
Theoretical XRD peak list of Ca2CoN2 for Cu Ka, from a DFT-relaxed cell (GGA-PBE, the Materials Project).

Peak list (6 most intense, 2θ from 10° to 80°, in order of rising 2θ)
22.37°, I 515; 32.99°, I 943; 34.55°, I 597; 34.94°, I 361; 36.31°, I 1000; 45.63°, I 412

Atomic structure:
```
data_Ca2CoN2
_symmetry_space_group_name_H-M 'C 1 2/m 1'
_symmetry_Int_Tables_number 12
_symmetry_space_group_name_Hall '-C 2y'
_cell_length_a 10.7950
_cell_length_b 4.9479
_cell_length_c 6.7112
_cell_angle_alpha 90.00
_cell_angle_beta 122.05
_cell_angle_gamma 90.00
loop_
_atom_site_label
_atom_site_type_symbol
_atom_site_fract_x
_atom_site_fract_y
_atom_site_fract_z
Ca1 Ca 0.0417 0.0000 0.2726
Ca2 Ca 0.1816 0.5000 0.1004
Co1 Co 0.1235 0.5000 0.6227
N1 N 0.0211 0.5000 0.3030
N2 N 0.1889 0.0000 0.1159
```

=====

Entry 6:
Theoretical XRD peak list of Ca5CoPb3 for Cu Ka, from a DFT-relaxed cell (GGA-PBE, the Materials Project).

Peak list (6 most intense, 2θ from 10° to 80°, in order of rising 2θ)
21.58°, I 344; 22.86°, I 1000; 31.64°, I 826; 32.49°, I 698; 32.61°, I 508; 41.73°, I 561

Atomic structure:
```
data_Ca5CoPb3
_symmetry_space_group_name_H-M 'P 63/m c m'
_symmetry_Int_Tables_number 193
_symmetry_space_group_name_Hall '-P 6c 2'
_cell_length_a 9.5118
_cell_length_b 9.5118
_cell_length_c 6.7613
_cell_angle_alpha 90.00
_cell_angle_beta 90.00
_cell_angle_gamma 120.00
loop_
_atom_site_label
_atom_site_type_symbol
_atom_site_fract_x
_atom_site_fract_y
_atom_site_fract_z
Ca1 Ca 0.0000 0.2510 0.2500
Ca2 Ca 0.3333 0.6667 0.0000
Co1 Co 0.0000 0.0000 0.0000
Pb1 Pb 0.0000 0.3946 0.7500
```

=====

Entry 7:
Theoretical XRD peak list of CaCo2S4 for Cu Ka, from a DFT-relaxed cell (GGA-PBE, the Materials Project).

Peak list (6 most intense, 2θ from 10° to 80°, in order of rising 2θ)
15.16°, I 1000; 29.55°, I 714; 35.95°, I 547; 45.46°, I 332; 47.20°, I 549; 50.68°, I 626

Atomic structure:
```
data_CaCo2S4
_symmetry_space_group_name_H-M 'I 41/a m d'
_symmetry_Int_Tables_number 141
_cell_length_a 7.0652
_cell_length_b 7.0652
_cell_length_c 10.4003
_cell_angle_alpha 90.00
_cell_angle_beta 90.00
_cell_angle_gamma 90.00
loop_
_symmetry_equiv_pos_as_xyz
'x,y,z'
'-x,-y,-z'
'-y+1/4,x+3/4,z+1/4'
'y+1/4,-x+3/4,-z+1/4'
'-x+1/2,-y,z+1/2'
'x+1/2,y,-z+1/2'
'y+1/4,-x+1/4,z+3/4'
'-y+1/4,x+1/4,-z+3/4'
'x,-y,-z'
'-x,y,z'
'-y+1/4,-x+1/4,-z+3/4'
'y+1/4,x+1/4,z+3/4'
'-x+1/2,y,-z+1/2'
'x+1/2,-y,z+1/2'
'y+1/4,x+3/4,-z+1/4'
'-y+1/4,-x+3/4,z+1/4'
'x+1/2,y+1/2,z+1/2'
'-x+1/2,-y+1/2,-z+1/2'
'-y+3/4,x+1/4,z+3/4'
'y+3/4,-x+1/4,-z+3/4'
'-x,-y+1/2,z'
'x,y+1/2,-z'
'y+3/4,-x+3/4,z+1/4'
'-y+3/4,x+3/4,-z+1/4'
'x+1/2,-y+1/2,-z+1/2'
'-x+1/2,y+1/2,z+1/2'
'-y+3/4,-x+3/4,-z+1/4'
'y+3/4,x+3/4,z+1/4'
'-x,y+1/2,-z'
'x,-y+1/2,z'
'y+3/4,x+1/4,-z+3/4'
'-y+3/4,-x+1/4,z+3/4'
loop_
_atom_site_label
_atom_site_type_symbol
_atom_site_fract_x
_atom_site_fract_y
_atom_site_fract_z
Ca1 Ca 0.0000 0.2500 0.3750
Co1 Co 0.0000 0.0000 0.0000
S1 S 0.0000 0.0430 0.7785
```

=====

Entry 8:
Theoretical XRD peak list of CaCo2S4 for Cu Ka, from a DFT-relaxed cell (GGA-PBE, the Materials Project).

Peak list (6 most intense, 2θ from 10° to 80°, in order of rising 2θ)
15.14°, I 1000; 24.85°, I 350; 29.22°, I 995; 35.42°, I 815; 46.56°, I 885; 50.97°, I 948

Atomic structure:
abc: 10.1357 10.1357 10.1357
angles: 90.00 90.00 90.00
Space group Fd-3m (No. 227, origin choice 2)
Inequivalent atoms, fractional coordinates:
Ca1 0.1250 0.1250 0.1250 (multiplicity 8)
Co1 0.0000 0.0000 0.5000 (multiplicity 16)
S1 0.0239 0.0239 0.7261 (multiplicity 32)